[1]
The following is a calculated powder X-ray diffraction pattern of SiSnO3. It was derived from the GGA-PBE geometry in the Materials Project, using CuKα.
Neutral-atom scattering factors, no anomalous dispersion.

Top 10 peaks for 10° ≤ 2θ ≤ 90°, low angle first:
15.44°, rel. 355; 24.80°, rel. 424; 25.07°, rel. 569; 26.71°, rel. 1000; 27.09°, rel. 385; 27.31°, rel. 367; 29.30°, rel. 673; 29.58°, rel. 412; 31.50°, rel. 641; 35.20°, rel. 290

Atomic structure:
```
data_SiSnO3
_chemical_formula_sum 'Si12 Sn12 O36'
_cell_length_a 11.395
_cell_length_b 7.049
_cell_length_c 13.098
_cell_angle_alpha 90.00
_cell_angle_beta 119.94
_cell_angle_gamma 90.00
_space_group_name_H-M_alt 'P 1 2/c 1'
_space_group_IT_number 13
_space_group_name_Hall '-P 2yc'
loop_
_atom_site_label
_atom_site_fract_x
_atom_site_fract_y
_atom_site_fract_z
_atom_site_occupancy
Si1 0.038 0.125 0.155 1
Si2 0.249 0.185 0.540 1
Si3 0.361 0.406 0.393 1
Sn1 0.074 0.387 0.663 1
Sn2 0.290 0.309 0.103 1
Sn3 0.366 0.052 0.820 1
O1 0.000 0.223 0.250 1
O2 0.107 0.294 0.116 1
O3 0.110 0.060 0.458 1
O4 0.139 0.057 0.711 1
O5 0.214 0.377 0.592 1
O6 0.254 0.425 0.827 1
O7 0.313 0.244 0.456 1
O8 0.354 0.047 0.648 1
O9 0.391 0.278 0.301 1
O10 0.500 0.500 0.000 1
```



[2]
The following is a calculated powder X-ray diffraction pattern of LiAgF2. It was derived from the GGA-PBE geometry in the Materials Project, using CuKα.
Neutral-atom scattering factors, no anomalous dispersion.

Top 10 peaks for 10° ≤ 2θ ≤ 90°, low angle first:
16.49°, rel. 1000; 27.85°, rel. 253; 29.20°, rel. 265; 31.73°, rel. 238; 34.18°, rel. 490; 34.56°, rel. 230; 37.29°, rel. 231; 41.51°, rel. 291; 43.66°, rel. 278; 45.55°, rel. 213

Atomic structure:
```
data_LiAgF2
_chemical_formula_sum 'Li4 Ag4 F8'
_cell_length_a 2.964
_cell_length_b 6.116
_cell_length_c 11.281
_cell_angle_alpha 90.00
_cell_angle_beta 90.00
_cell_angle_gamma 90.00
_space_group_name_H-M_alt 'P 21 21 21'
_space_group_IT_number 19
_space_group_name_Hall 'P 2ac 2ab'
loop_
_atom_site_label
_atom_site_fract_x
_atom_site_fract_y
_atom_site_fract_z
_atom_site_occupancy
Li1 0.212 0.240 0.393 1
Ag1 0.164 0.740 0.618 1
F1 0.214 0.070 0.543 1
F2 0.216 0.408 0.697 1
```



[3]
The following is a calculated powder X-ray diffraction pattern of SrCaSmBiO6. It was derived from the GGA-PBE geometry in the Materials Project, using CuKα.
Neutral-atom scattering factors, no anomalous dispersion.

Top 10 peaks for 10° ≤ 2θ ≤ 90°, low angle first:
20.92°, rel. 1000; 29.30°, rel. 463; 29.69°, rel. 959; 29.80°, rel. 957; 30.25°, rel. 433; 42.56°, rel. 466; 42.65°, rel. 224; 52.23°, rel. 272; 52.48°, rel. 225; 53.53°, rel. 237

Atomic structure:
```
data_SrCaSmBiO6
_chemical_formula_sum 'Sr2 Ca2 Sm2 Bi2 O12'
_cell_length_a 5.909
_cell_length_b 6.096
_cell_length_c 8.504
_cell_angle_alpha 89.97
_cell_angle_beta 89.71
_cell_angle_gamma 89.93
_space_group_name_H-M_alt 'P -1'
_space_group_IT_number 2
_space_group_name_Hall '-P 1'
loop_
_atom_site_label
_atom_site_fract_x
_atom_site_fract_y
_atom_site_fract_z
_atom_site_occupancy
Sr1 0.012 0.052 0.250 1
Ca1 0.486 0.549 0.248 1
Sm1 0.000 0.500 0.000 1
Sm2 0.500 0.000 0.500 1
Bi1 0.000 0.500 0.500 1
Bi2 0.500 0.000 0.000 1
O1 0.125 0.538 0.738 1
O2 0.185 0.792 0.443 1
O3 0.207 0.809 0.052 1
O4 0.294 0.312 0.434 1
O5 0.319 0.295 0.066 1
O6 0.397 0.062 0.761 1
```



[4]
The following is a calculated powder X-ray diffraction pattern of Ag4GeO4. It was derived from the GGA-PBE geometry in the Materials Project, using CuKα.
Neutral-atom scattering factors, no anomalous dispersion.

Top 10 peaks for 10° ≤ 2θ ≤ 90°, low angle first:
31.66°, rel. 1000; 32.35°, rel. 884; 32.50°, rel. 715; 33.17°, rel. 195; 33.29°, rel. 935; 35.02°, rel. 841; 36.87°, rel. 658; 40.87°, rel. 560; 52.77°, rel. 227; 56.29°, rel. 232

Atomic structure:
```
data_Ag4GeO4
_chemical_formula_sum 'Ag16 Ge4 O16'
_cell_length_a 6.579
_cell_length_b 8.602
_cell_length_c 10.264
_cell_angle_alpha 106.77
_cell_angle_beta 93.07
_cell_angle_gamma 94.65
_space_group_name_H-M_alt 'P -1'
_space_group_IT_number 2
_space_group_name_Hall '-P 1'
loop_
_atom_site_label
_atom_site_fract_x
_atom_site_fract_y
_atom_site_fract_z
_atom_site_occupancy
Ag1 0.016 0.016 0.247 1
Ag2 0.047 0.420 0.860 1
Ag3 0.084 0.363 0.368 1
Ag4 0.229 0.824 0.922 1
Ag5 0.322 0.182 0.526 1
Ag6 0.421 0.606 0.669 1
Ag7 0.442 0.653 0.162 1
Ag8 0.477 0.963 0.743 1
Ge1 0.201 0.772 0.443 1
Ge2 0.275 0.249 0.061 1
O1 0.043 0.344 0.575 1
O2 0.074 0.352 0.153 1
O3 0.221 0.953 0.587 1
O4 0.224 0.221 0.884 1
O5 0.242 0.825 0.291 1
O6 0.281 0.059 0.101 1
O7 0.392 0.642 0.468 1
O8 0.486 0.625 0.886 1
```



[5]
The following is a calculated powder X-ray diffraction pattern of Mg14AlW. It was derived from the GGA-PBE geometry in the Materials Project, using CuKα.
Neutral-atom scattering factors, no anomalous dispersion.

Top 10 peaks for 10° ≤ 2θ ≤ 90°, low angle first:
16.38°, rel. 219; 16.61°, rel. 386; 18.59°, rel. 313; 18.78°, rel. 570; 24.21°, rel. 295; 33.57°, rel. 297; 35.41°, rel. 398; 37.69°, rel. 534; 38.10°, rel. 1000; 65.36°, rel. 231

Atomic structure:
```
data_Mg14AlW
_chemical_formula_sum 'Mg28 Al2 W2'
_cell_length_a 10.139
_cell_length_b 6.138
_cell_length_c 10.822
_cell_angle_alpha 90.00
_cell_angle_beta 90.00
_cell_angle_gamma 90.00
_space_group_name_H-M_alt 'A m m 2'
_space_group_IT_number 38
_space_group_name_Hall 'A 2 -2'
loop_
_atom_site_label
_atom_site_fract_x
_atom_site_fract_y
_atom_site_fract_z
_atom_site_occupancy
Mg1 0.000 0.000 0.000 1
Mg2 0.000 0.000 0.499 1
Mg3 0.000 0.249 0.251 1
Mg4 0.250 0.000 0.665 1
Mg5 0.258 0.000 0.161 1
Mg6 0.263 0.245 0.919 1
Mg7 0.500 0.250 0.250 1
Al1 0.500 0.000 0.502 1
W1 0.500 0.000 0.002 1
```



[6]
The following is a calculated powder X-ray diffraction pattern of Ba3CuP2Br3O7. It was derived from the GGA-PBE geometry in the Materials Project, using CuKα.
Neutral-atom scattering factors, no anomalous dispersion.

Top 10 peaks for 10° ≤ 2θ ≤ 90°, low angle first:
20.91°, rel. 288; 21.05°, rel. 278; 25.08°, rel. 1000; 27.01°, rel. 429; 28.10°, rel. 361; 28.46°, rel. 432; 28.77°, rel. 454; 28.87°, rel. 682; 29.01°, rel. 721; 29.19°, rel. 371

Atomic structure:
```
data_Ba3CuP2Br3O7
_chemical_formula_sum 'Ba6 Cu2 P4 Br6 O14'
_cell_length_a 7.102
_cell_length_b 10.425
_cell_length_c 10.545
_cell_angle_alpha 118.30
_cell_angle_beta 90.37
_cell_angle_gamma 90.57
_space_group_name_H-M_alt 'P 1'
_space_group_IT_number 1
_space_group_name_Hall 'P 1'
loop_
_atom_site_label
_atom_site_fract_x
_atom_site_fract_y
_atom_site_fract_z
_atom_site_occupancy
Ba1 0.000 0.000 0.000 1
Ba2 0.002 0.459 0.741 1
Ba3 0.481 0.766 0.080 1
Ba4 0.497 0.040 0.677 1
Ba5 0.502 0.380 0.444 1
Ba6 0.982 0.729 0.460 1
Cu1 0.495 0.397 0.072 1
Cu2 0.991 0.389 0.058 1
P1 0.156 0.088 0.440 1
P2 0.272 0.713 0.711 1
P3 0.716 0.730 0.742 1
P4 0.836 0.086 0.434 1
Br1 0.491 0.158 0.046 1
Br2 0.496 0.612 0.301 1
Br3 0.499 0.414 0.852 1
Br4 0.984 0.632 0.097 1
Br5 0.985 0.362 0.267 1
Br6 0.993 0.189 0.822 1
O1 0.190 0.574 0.584 1
O2 0.206 0.736 0.859 1
O3 0.217 0.959 0.458 1
O4 0.218 0.950 0.168 1
O5 0.224 0.239 0.554 1
O6 0.241 0.850 0.693 1
O7 0.245 0.090 0.300 1
O8 0.489 0.672 0.695 1
O9 0.740 0.855 0.698 1
O10 0.754 0.081 0.287 1
O11 0.769 0.236 0.543 1
O12 0.769 0.958 0.455 1
O13 0.770 0.938 0.157 1
O14 0.797 0.586 0.617 1
```